[1]
For Nd4Tm6Zr, a PBE-relaxed structure gives the calculated powder diffraction line list in this record (Cu Kα (λ = 1.5418 Å)).
Peak positions follow from Bragg's law for the DFT cell and can differ from measured ones.

Most intense lines, 10° ≤ 2θ ≤ 80°, sorted by position:
d (Å)  I_rel
2.953  100
2.722  55
2.400  11
1.901  11
1.757  11
1.522  16
1.510  20
1.425  11

Crystal structure
Unit cell a=8.6064 b=8.6064 c=9.2066 alpha=90.00 beta=90.00 gamma=90.00
Positions (direct):
Nd 0.1432 0.3568 0.2500
Nd 0.1432 0.3568 0.7500
Nd 0.3568 0.8568 0.2500
Nd 0.3568 0.8568 0.7500
Nd 0.6432 0.1432 0.2500
Nd 0.6432 0.1432 0.7500
Nd 0.8568 0.6432 0.2500
Nd 0.8568 0.6432 0.7500
Tm 0.0000 0.0000 0.1733
Tm 0.0000 0.0000 0.8267
Tm 0.1543 0.6580 0.5000
Tm 0.1580 0.6543 0.0000
Tm 0.3420 0.1543 0.5000
Tm 0.3457 0.1580 0.0000
Tm 0.5000 0.5000 0.3267
Tm 0.5000 0.5000 0.6733
Tm 0.6543 0.8420 0.0000
Tm 0.6580 0.8457 0.5000
Tm 0.8420 0.3457 0.0000
Tm 0.8457 0.3420 0.5000
Zr 0.0000 0.0000 0.5000
Zr 0.5000 0.5000 0.0000

=====

[2]
For Dy2YTm6, a PBE-relaxed structure gives the calculated powder diffraction line list in this record (Cu Kα (λ = 1.5418 Å)).
Peak positions follow from Bragg's law for the DFT cell and can differ from measured ones.

Most intense lines, 10° ≤ 2θ ≤ 80°, sorted by position:
d (Å)  I_rel
3.081  46
2.850  44
2.777  55
2.641  100
2.092  28
1.779  37
1.575  32
1.509  39

Crystal structure
Unit cell a=3.5579 b=3.5579 c=25.6537 alpha=90.00 beta=90.00 gamma=120.00
Positions (direct):
Dy 0.0000 0.0000 0.1728
Dy 0.0000 0.0000 0.8272
Y 0.6667 0.3333 0.5000
Tm 0.0000 0.0000 0.3898
Tm 0.0000 0.0000 0.6102
Tm 0.6667 0.3333 0.0649
Tm 0.6667 0.3333 0.2824
Tm 0.6667 0.3333 0.7176
Tm 0.6667 0.3333 0.9351

=====

[3]
For AcTb2Ru, a PBE-relaxed structure gives the calculated powder diffraction line list in this record (Cu Kα (λ = 1.5418 Å)).
Peak positions follow from Bragg's law for the DFT cell and can differ from measured ones.

Most intense lines, 10° ≤ 2θ ≤ 80°, sorted by position:
d (Å)  I_rel
5.360  29
3.574  36
3.304  64
3.253  64
2.561  100
2.311  46
1.918  47
1.690  27

Crystal structure
Unit cell a=10.9470 b=10.9470 c=10.9470 alpha=20.18 beta=20.18 gamma=20.18
Positions (direct):
Ac 0.0000 0.0000 0.0000
Tb 0.1169 0.1169 0.1169
Tb 0.8831 0.8831 0.8831
Ru 0.5000 0.5000 0.5000

=====

[4]
For Ce2PbS6, a PBE-relaxed structure gives the calculated powder diffraction line list in this record (Cu Kα (λ = 1.5418 Å)).
Peak positions follow from Bragg's law for the DFT cell and can differ from measured ones.

Most intense lines, 10° ≤ 2θ ≤ 80°, sorted by position:
d (Å)  I_rel
4.466  100
3.504  72
3.158  18
2.346  84
2.233  23
1.997  17
1.904  21
1.883  33

Crystal structure
Unit cell a=6.3159 b=6.3159 c=12.6332 alpha=90.00 beta=90.00 gamma=90.00
Positions (direct):
Ce 0.0000 0.0000 0.1665
Ce 0.0000 0.0000 0.8335
Ce 0.5000 0.5000 0.3335
Ce 0.5000 0.5000 0.6665
Pb 0.0000 0.0000 0.5000
Pb 0.5000 0.5000 0.0000
S 0.1898 0.1898 0.0000
S 0.1947 0.1947 0.3356
S 0.1947 0.1947 0.6644
S 0.3053 0.6947 0.1645
S 0.3053 0.6947 0.8356
S 0.3102 0.6898 0.5000
S 0.6898 0.3102 0.5000
S 0.6947 0.3053 0.1645
S 0.6947 0.3053 0.8356
S 0.8053 0.8053 0.3356
S 0.8053 0.8053 0.6644
S 0.8102 0.8102 0.0000